For Ho4Pt, a GGA-PBE-relaxed structure gives the computed powder X-ray diffraction pattern in this record (Cu Ka).
Peak positions follow from Bragg's law for the DFT cell and can differ from measured ones.

Main lines, in order of falling intensity (5 to 70 degrees two-theta):
- d 3.157, 28.27°, intensity 100, (2 2 2)
- d 1.933, 47.00°, intensity 57, (4 4 0)
- d 1.649, 55.75°, intensity 34, (6 2 2)
- d 2.509, 35.79°, intensity 32, (3 3 1)
- d 2.105, 42.97°, intensity 30, (5 1 1)
- d 3.867, 23.00°, intensity 30, (2 2 0)
- d 2.734, 32.75°, intensity 23, (4 0 0)
- d 1.462, 63.67°, intensity 10, (6 4 2)
- d 1.532, 60.45°, intensity 10, (7 1 1)
- d 3.298, 27.04°, intensity 9, (3 1 1)

a = 10.9374 Å, b = 10.9374 Å, c = 10.9374 Å
α = 90.00°, β = 90.00°, γ = 90.00°
Space group Fd-3m (No. 227, origin choice 2)
One atom of each set of equivalent atoms:
1 Ho 0.0147 0.0147 0.2353 x32
2 Pt 0.1250 0.1250 0.6250 x8